Diffraction record for SnRh6W. The PXRD pattern is calculated, not measured: it uses a cell relaxed with GGA-PBE and Cu Kα.
Kinematic intensities with the Lorentz-polarization factor, no thermal factor.

The 8 most intense peaks (15° ≤ 2θ ≤ 90°), low angle first:
2θ/deg	I_rel
39.89	100
46.19	16
46.49	33
67.62	20
67.86	10
81.26	11
81.71	25
86.03	11

Structural model:
Unit cell a=3.9064 b=3.9064 c=7.8621 alpha=90.00 beta=90.00 gamma=90.00
Sites, in units of the cell vectors:
1 Sn 0.0000 0.0000 0.0000
2 Rh 0.0000 0.5000 0.2632
3 Rh 0.0000 0.5000 0.7368
4 Rh 0.5000 0.0000 0.2632
5 Rh 0.5000 0.0000 0.7368
6 Rh 0.5000 0.5000 0.0000
7 Rh 0.5000 0.5000 0.5000
8 W 0.0000 0.0000 0.5000

Diffraction record for ErTm2OsO8. The PXRD pattern is calculated, not measured: it uses a cell relaxed with GGA-PBE and Cu Kα.
Kinematic intensities with the Lorentz-polarization factor, no thermal factor.

The 8 most intense peaks (15° ≤ 2θ ≤ 90°), low angle first:
2θ/deg	I_rel
25.18	57
25.40	53
32.27	100
36.07	30
49.04	39
49.29	36
62.48	21
67.53	11

Structural model:
Unit cell a=4.9799 b=4.9799 c=6.6816 alpha=90.00 beta=90.00 gamma=90.50
Sites, in units of the cell vectors:
1 Er 0.0000 0.0000 0.0000
2 Tm 0.5000 0.5000 0.2456
3 Tm 0.5000 0.5000 0.7544
4 Os 0.0000 0.0000 0.5000
5 O 0.1851 0.8149 0.2881
6 O 0.1851 0.8149 0.7119
7 O 0.2685 0.2685 0.5000
8 O 0.3078 0.3078 0.0000
9 O 0.6922 0.6922 0.0000
10 O 0.7315 0.7315 0.5000
11 O 0.8149 0.1851 0.2881
12 O 0.8149 0.1851 0.7119

Diffraction record for Pm4Cu5As7. The PXRD pattern is calculated, not measured: it uses a cell relaxed with GGA-PBE and Cu Kα.
Kinematic intensities with the Lorentz-polarization factor, no thermal factor.

The 8 most intense peaks (15° ≤ 2θ ≤ 90°), low angle first:
2θ/deg	I_rel
24.22	20
28.71	15
35.02	29
35.51	14
36.81	100
46.03	35
50.73	18
79.09	20

Structural model:
Unit cell a=10.8537 b=10.8537 c=10.8537 alpha=150.22 beta=150.22 gamma=42.62
Sites, in units of the cell vectors:
1 Pm 0.1239 0.6357 0.0000
2 Pm 0.3643 0.3643 0.4882
3 Pm 0.6357 0.1239 0.0000
4 Pm 0.8761 0.8761 0.5118
5 Cu 0.2489 0.2489 0.0000
6 Cu 0.2500 0.7500 0.5000
7 Cu 0.5000 0.5000 0.0000
8 Cu 0.7500 0.2500 0.5000
9 Cu 0.7511 0.7511 0.0000
10 As 0.0000 0.0000 0.0000
11 As 0.0000 0.5000 0.5000
12 As 0.0819 0.0819 0.5088
13 As 0.4269 0.9181 0.0000
14 As 0.5000 0.0000 0.5000
15 As 0.5731 0.5731 0.4912
16 As 0.9181 0.4269 0.0000

Diffraction record for AcTb6SmEr2. The PXRD pattern is calculated, not measured: it uses a cell relaxed with GGA-PBE and Cu Kα.
Kinematic intensities with the Lorentz-polarization factor, no thermal factor.

The 8 most intense peaks (15° ≤ 2θ ≤ 90°), low angle first:
2θ/deg	I_rel
28.02	38
28.22	18
30.30	44
30.48	100
30.89	34
31.34	30
32.06	22
33.93	32

Structural model:
Unit cell a=8.9176 b=8.9176 c=9.5774 alpha=92.69 beta=92.69 gamma=117.44
Sites, in units of the cell vectors:
1 Ac 0.0316 0.9684 0.7500
2 Ac 0.9684 0.0316 0.2500
3 Tb 0.0157 0.5545 0.6790
4 Tb 0.1233 0.7507 0.0568
5 Tb 0.2493 0.8767 0.4432
6 Tb 0.2898 0.5117 0.8831
7 Tb 0.4455 0.9843 0.8210
8 Tb 0.4883 0.7102 0.6169
9 Tb 0.5117 0.2898 0.3831
10 Tb 0.5545 0.0157 0.1790
11 Tb 0.7102 0.4883 0.1169
12 Tb 0.7507 0.1233 0.5568
13 Tb 0.8767 0.2493 0.9432
14 Tb 0.9843 0.4455 0.3210
15 Sm 0.4110 0.5890 0.2500
16 Sm 0.5890 0.4110 0.7500
17 Er 0.2008 0.3129 0.5487
18 Er 0.3129 0.2008 0.0487
19 Er 0.6871 0.7992 0.9513
20 Er 0.7992 0.6871 0.4513

Diffraction record for Pm12SiAg6. The PXRD pattern is calculated, not measured: it uses a cell relaxed with GGA-PBE and Cu Kα.
Kinematic intensities with the Lorentz-polarization factor, no thermal factor.

The 8 most intense peaks (15° ≤ 2θ ≤ 90°), low angle first:
2θ/deg	I_rel
26.73	22
27.03	35
32.84	100
32.99	27
34.72	43
34.94	53
36.55	31
40.09	20

Structural model:
Unit cell a=8.1463 b=8.1463 c=8.1463 alpha=90.56 beta=90.56 gamma=90.56
Sites, in units of the cell vectors:
1 Pm 0.0372 0.9565 0.3036
2 Pm 0.0435 0.6964 0.9628
3 Pm 0.1579 0.5068 0.3693
4 Pm 0.3036 0.0372 0.9565
5 Pm 0.3693 0.1579 0.5068
6 Pm 0.4932 0.6307 0.8421
7 Pm 0.5068 0.3693 0.1579
8 Pm 0.6307 0.8421 0.4932
9 Pm 0.6964 0.9628 0.0435
10 Pm 0.8421 0.4932 0.6307
11 Pm 0.9565 0.3036 0.0372
12 Pm 0.9628 0.0435 0.6964
13 Si 0.5000 0.5000 0.5000
14 Ag 0.2102 0.3826 0.7649
15 Ag 0.2351 0.7898 0.6174
16 Ag 0.3826 0.7649 0.2102
17 Ag 0.6174 0.2351 0.7898
18 Ag 0.7649 0.2102 0.3826
19 Ag 0.7898 0.6174 0.2351

Diffraction record for Al3GaNi. The PXRD pattern is calculated, not measured: it uses a cell relaxed with GGA-PBE and Cu Kα.
Kinematic intensities with the Lorentz-polarization factor, no thermal factor.

The 8 most intense peaks (15° ≤ 2θ ≤ 90°), low angle first:
2θ/deg	I_rel
27.91	100
34.36	25
39.89	73
49.39	40
57.68	48
65.28	16
72.43	16
79.31	18

Structural model:
Unit cell a=4.5202 b=4.5202 c=4.5202 alpha=90.00 beta=90.00 gamma=90.00
Sites, in units of the cell vectors:
1 Al 0.0000 0.0000 0.5000
2 Al 0.0000 0.5000 0.0000
3 Al 0.5000 0.0000 0.0000
4 Ga 0.5000 0.5000 0.5000
5 Ni 0.0000 0.0000 0.0000

Diffraction record for CaHo5Er6. The PXRD pattern is calculated, not measured: it uses a cell relaxed with GGA-PBE and Cu Kα.
Kinematic intensities with the Lorentz-polarization factor, no thermal factor.

The 8 most intense peaks (15° ≤ 2θ ≤ 90°), low angle first:
2θ/deg	I_rel
30.95	100
35.88	50
51.65	36
61.44	42
64.49	12
84.35	17
87.04	11
87.14	5

Structural model:
Unit cell a=7.9186 b=7.9186 c=10.0015 alpha=90.00 beta=90.00 gamma=143.15
Sites, in units of the cell vectors:
1 Ca 0.0000 0.0000 0.0000
2 Ho 0.0000 0.0000 0.5000
3 Ho 0.3277 0.6723 0.0000
4 Ho 0.3331 0.6669 0.5000
5 Ho 0.6669 0.3331 0.5000
6 Ho 0.6723 0.3277 0.0000
7 Er 0.1697 0.8303 0.2539
8 Er 0.1697 0.8303 0.7461
9 Er 0.5000 0.5000 0.2588
10 Er 0.5000 0.5000 0.7412
11 Er 0.8303 0.1697 0.2539
12 Er 0.8303 0.1697 0.7461

Repeat the seventh record exactly.
Diffraction record for CaHo5Er6. The PXRD pattern is calculated, not measured: it uses a cell relaxed with GGA-PBE and Cu Kα.
Kinematic intensities with the Lorentz-polarization factor, no thermal factor.

The 8 most intense peaks (15° ≤ 2θ ≤ 90°), low angle first:
2θ/deg	I_rel
30.95	100
35.88	50
51.65	36
61.44	42
64.49	12
84.35	17
87.04	11
87.14	5

Structural model:
Unit cell a=7.9186 b=7.9186 c=10.0015 alpha=90.00 beta=90.00 gamma=143.15
Sites, in units of the cell vectors:
1 Ca 0.0000 0.0000 0.0000
2 Ho 0.0000 0.0000 0.5000
3 Ho 0.3277 0.6723 0.0000
4 Ho 0.3331 0.6669 0.5000
5 Ho 0.6669 0.3331 0.5000
6 Ho 0.6723 0.3277 0.0000
7 Er 0.1697 0.8303 0.2539
8 Er 0.1697 0.8303 0.7461
9 Er 0.5000 0.5000 0.2588
10 Er 0.5000 0.5000 0.7412
11 Er 0.8303 0.1697 0.2539
12 Er 0.8303 0.1697 0.7461

Please write out number 7 again, unchanged.
Diffraction record for CaHo5Er6. The PXRD pattern is calculated, not measured: it uses a cell relaxed with GGA-PBE and Cu Kα.
Kinematic intensities with the Lorentz-polarization factor, no thermal factor.

The 8 most intense peaks (15° ≤ 2θ ≤ 90°), low angle first:
2θ/deg	I_rel
30.95	100
35.88	50
51.65	36
61.44	42
64.49	12
84.35	17
87.04	11
87.14	5

Structural model:
Unit cell a=7.9186 b=7.9186 c=10.0015 alpha=90.00 beta=90.00 gamma=143.15
Sites, in units of the cell vectors:
1 Ca 0.0000 0.0000 0.0000
2 Ho 0.0000 0.0000 0.5000
3 Ho 0.3277 0.6723 0.0000
4 Ho 0.3331 0.6669 0.5000
5 Ho 0.6669 0.3331 0.5000
6 Ho 0.6723 0.3277 0.0000
7 Er 0.1697 0.8303 0.2539
8 Er 0.1697 0.8303 0.7461
9 Er 0.5000 0.5000 0.2588
10 Er 0.5000 0.5000 0.7412
11 Er 0.8303 0.1697 0.2539
12 Er 0.8303 0.1697 0.7461